Theoretical X-ray powder pattern of TbTaCr2O8 for a wavelength of 1.5418 Å, from DFT lattice parameters and positions (GGA+U).
Peak positions follow from Bragg's law for the DFT cell and can differ from measured ones.

Atomic structure:
```
data_TbTaCr2O8
_symmetry_space_group_name_H-M 'C 1 2/m 1'
_symmetry_Int_Tables_number 12
_cell_length_a 6.7940
_cell_length_b 6.6240
_cell_length_c 6.3403
_cell_angle_alpha 90.00
_cell_angle_beta 91.53
_cell_angle_gamma 90.00
loop_
_symmetry_equiv_pos_as_xyz
'x,y,z'
'-x,-y,-z'
'-x,y,-z'
'x,-y,z'
'x+1/2,y+1/2,z'
'-x+1/2,-y+1/2,-z'
'-x+1/2,y+1/2,-z'
'x+1/2,-y+1/2,z'
loop_
_atom_site_label
_atom_site_type_symbol
_atom_site_fract_x
_atom_site_fract_y
_atom_site_fract_z
Tb1 Tb 0.0000 0.0000 0.0000
Ta1 Ta 0.0000 0.0000 0.5000
Cr1 Cr 0.0008 0.5000 0.7483
O1 O 0.0002 0.2074 0.2775
O2 O 0.1708 0.5000 0.9892
O3 O 0.1924 0.5000 0.4929
```

Most intense lines, 10° ≤ 2θ ≤ 90°, in order of falling intensity:
2θ (°)  I_rel  index
26.24  100.0  2 0 0
18.71  90.5  1 1 0
26.92  87.8  0 2 0
33.72  77.7  1 1 -2
34.33  69.3  1 1 2
52.09  60.7  3 1 2
37.95  40.7  2 2 0
39.35  39.7  0 2 2
50.84  33.7  3 1 -2
52.47  27.0  1 3 2
42.18  23.9  3 1 0
28.16  19.8  0 0 2